Starting from a GGA-PBE-relaxed structure, the powder X-ray diffraction pattern of CsScGeO4 was computed for CuKα.

Main lines, low angle first (2θ = 10–90°):
hkl 1 1 0, d = 3.975 Å, 2θ = 22.36°, I = 558
hkl 1 1 1, d = 3.522 Å, 2θ = 25.29°, I = 319
hkl 1 0 -2, d = 3.254 Å, 2θ = 27.41°, I = 1000
hkl 1 0 2, d = 3.165 Å, 2θ = 28.19°, I = 218
hkl 0 2 0, d = 2.875 Å, 2θ = 31.11°, I = 348
hkl 2 0 0, d = 2.751 Å, 2θ = 32.55°, I = 137
hkl 1 2 -2, d = 2.154 Å, 2θ = 41.95°, I = 176
hkl 2 1 -2, d = 2.127 Å, 2θ = 42.51°, I = 159
hkl 2 1 2, d = 2.077 Å, 2θ = 43.57°, I = 199
hkl 1 1 -4, d = 1.783 Å, 2θ = 51.25°, I = 200

Cell and atoms:
Lattice parameters (Å, degrees): 5.505 5.749 7.899 90.00 91.63 90.00
Space group P2_1/m (No. 11)
Inequivalent atoms, fractional coordinates:
Cs 0.241 0.250 0.106
Sc 0.179 0.750 0.473
Ge 0.337 0.250 0.640
O 0.113 0.021 0.650
O 0.393 0.750 0.235
O 0.464 0.250 0.437